Simulated powder diffractogram
Compound: Mn4Zn6F19
Radiation: Cu Kα (weighted mean of Kα1 and Kα2)
Structure: a PBE+U-relaxed structure

Most intense lines, 15 to 90 degrees two-theta, in order of falling intensity:
- hkl 3 0 1, 2.872 Å, 2θ 31.14, I = 1000
- hkl 4 3 1, 1.781 Å, 2θ 51.29, I = 740
- hkl 3 1 2, 2.427 Å, 2θ 37.03, I = 708
- hkl 2 1 1, 3.708 Å, 2θ 24.00, I = 684
- hkl 6 0 0, 1.514 Å, 2θ 61.23, I = 348
- hkl 4 2 2, 1.854 Å, 2θ 49.14, I = 334

Structure:
Cell: 9.0827 9.0827 9.0827 Å, 90.00 90.00 90.00°
Space group I23 (No. 197)
Inequivalent atoms, fractional coordinates:
Mn (0.1455, 0.1455, 0.1455) [8 per cell]
Zn (0.0000, 0.1666, 0.5000) [12 per cell]
F (0.0000, 0.0000, 0.0000) [2 per cell]
F (0.0000, 0.0000, 0.3287) [12 per cell]
F (0.0580, 0.2842, 0.3125) [24 per cell]